Entry 1:
Diffraction record for AcAuS4. The powder XRD pattern is calculated, not measured: it uses a structure optimized by DFT (PBE) and Cu Ka.
No peak broadening, texture or thermal motion is included.

The 8 most intense peaks (2θ = 10–90°), low angle first:
Position (°2θ)  Rel. int.
20.3  36
22.9  100
23.6  56
24.1  32
29.3  31
33.1  61
35.7  43
37.9  41

Structural model:
```
data_AcAuS4
_chemical_formula_sum 'Ac2 Au2 S8'
_symmetry_space_group_name_H-M 'P 1'
_symmetry_Int_Tables_number 1
_cell_length_a 8.5143
_cell_length_b 8.5143
_cell_length_c 6.2844
_cell_angle_alpha 107.04
_cell_angle_beta 107.04
_cell_angle_gamma 42.01
loop_
_symmetry_equiv_pos_as_xyz
'x,y,z'
loop_
_atom_site_label
_atom_site_fract_x
_atom_site_fract_y
_atom_site_fract_z
Ac1 0.1756 0.1756 0.2520
Ac2 0.8244 0.8244 0.7480
Au1 0.3670 0.3670 0.1221
Au2 0.6330 0.6330 0.8779
S1 0.1687 0.8313 0.0000
S2 0.1744 0.6929 0.4459
S3 0.2716 0.2716 0.7437
S4 0.3071 0.8256 0.5541
S5 0.6929 0.1744 0.4459
S6 0.7284 0.7284 0.2563
S7 0.8256 0.3071 0.5541
S8 0.8313 0.1687 0.0000
```

---

Entry 2:
Diffraction record for AcAuS3. The powder XRD pattern is calculated, not measured: it uses a structure optimized by DFT (PBE) and Cu Ka.
No peak broadening, texture or thermal motion is included.

The 8 most intense peaks (2θ = 10–90°), low angle first:
Position (°2θ)  Rel. int.
11.7  36
23.3  19
23.5  23
25.9  100
26.0  35
30.9  19
33.1  24
37.2  29

Structural model:
```
data_AcAuS3
_chemical_formula_sum 'Ac4 Au4 S12'
_symmetry_space_group_name_H-M 'P 1'
_symmetry_Int_Tables_number 1
_cell_length_a 8.7937
_cell_length_b 8.7937
_cell_length_c 7.6498
_cell_angle_alpha 90.00
_cell_angle_beta 90.00
_cell_angle_gamma 118.61
loop_
_symmetry_equiv_pos_as_xyz
'x,y,z'
loop_
_atom_site_label
_atom_site_fract_x
_atom_site_fract_y
_atom_site_fract_z
Ac1 0.1802 0.8198 0.8693
Ac2 0.3198 0.6802 0.3693
Ac3 0.6802 0.3198 0.6307
Ac4 0.8198 0.1802 0.1307
Au1 0.1172 0.3828 0.7500
Au2 0.3828 0.1172 0.2500
Au3 0.6172 0.8828 0.7500
Au4 0.8828 0.6172 0.2500
S1 0.0191 0.3248 0.4630
S2 0.0240 0.9760 0.1255
S3 0.1752 0.4809 0.0370
S4 0.3248 0.0191 0.5370
S5 0.4760 0.5240 0.6255
S6 0.4809 0.1752 0.9630
S7 0.5191 0.8248 0.0370
S8 0.5240 0.4760 0.3745
S9 0.6752 0.9809 0.4630
S10 0.8248 0.5191 0.9630
S11 0.9760 0.0240 0.8745
S12 0.9809 0.6752 0.5370
```

---

Entry 3:
Diffraction record for Ac3Sb4Au4. The powder XRD pattern is calculated, not measured: it uses a structure optimized by DFT (PBE) and Cu Ka.
No peak broadening, texture or thermal motion is included.

The 8 most intense peaks (2θ = 10–90°), low angle first:
Position (°2θ)  Rel. int.
27.6  51
29.4  54
29.6  100
29.8  52
37.6  58
39.0  42
39.7  66
55.3  31

Structural model:
```
data_Ac3Sb4Au4
_chemical_formula_sum 'Ac3 Sb4 Au4'
_symmetry_space_group_name_H-M 'P 1'
_symmetry_Int_Tables_number 1
_cell_length_a 4.6147
_cell_length_b 4.7825
_cell_length_c 14.5584
_cell_angle_alpha 99.40
_cell_angle_beta 98.62
_cell_angle_gamma 90.01
loop_
_symmetry_equiv_pos_as_xyz
'x,y,z'
loop_
_atom_site_label
_atom_site_fract_x
_atom_site_fract_y
_atom_site_fract_z
Ac1 0.0000 0.0000 0.0000
Ac2 0.1606 0.6439 0.2873
Ac3 0.8394 0.3561 0.7127
Sb1 0.2512 0.2510 0.5023
Sb2 0.3779 0.9043 0.8072
Sb3 0.6221 0.0957 0.1928
Sb4 0.7488 0.7490 0.4977
Au1 0.3080 0.8083 0.6180
Au2 0.4661 0.5464 0.0938
Au3 0.5339 0.4536 0.9062
Au4 0.6920 0.1917 0.3820
```

---

Entry 4:
Diffraction record for Ac2Sb4Au. The powder XRD pattern is calculated, not measured: it uses a structure optimized by DFT (PBE) and Cu Ka.
No peak broadening, texture or thermal motion is included.

The 8 most intense peaks (2θ = 10–90°), low angle first:
Position (°2θ)  Rel. int.
21.0  24
25.9  15
32.4  100
38.9  32
48.3  13
51.5  14
63.7  12
66.3  23

Structural model:
```
data_Ac2Sb4Au
_chemical_formula_sum 'Ac2 Sb4 Au1'
_symmetry_space_group_name_H-M 'P 1'
_symmetry_Int_Tables_number 1
_cell_length_a 4.6343
_cell_length_b 4.6343
_cell_length_c 10.3069
_cell_angle_alpha 90.00
_cell_angle_beta 90.00
_cell_angle_gamma 90.00
loop_
_symmetry_equiv_pos_as_xyz
'x,y,z'
loop_
_atom_site_label
_atom_site_fract_x
_atom_site_fract_y
_atom_site_fract_z
Ac1 0.0000 0.5000 0.2404
Ac2 0.5000 0.0000 0.7596
Sb1 0.0000 0.0000 0.5000
Sb2 0.0000 0.5000 0.8536
Sb3 0.5000 0.0000 0.1464
Sb4 0.5000 0.5000 0.5000
Au1 0.5000 0.5000 0.0000
```

---

Entry 5:
Diffraction record for AcSbAu. The powder XRD pattern is calculated, not measured: it uses a structure optimized by DFT (PBE) and Cu Ka.
No peak broadening, texture or thermal motion is included.

The 8 most intense peaks (2θ = 10–90°), low angle first:
Position (°2θ)  Rel. int.
28.8  29
29.5  49
30.6  94
30.9  64
34.7  100
38.7  43
44.7  22
58.4  30

Structural model:
```
data_AcSbAu
_chemical_formula_sum 'Ac2 Sb2 Au2'
_symmetry_space_group_name_H-M 'P 1'
_symmetry_Int_Tables_number 1
_cell_length_a 6.5346
_cell_length_b 6.5346
_cell_length_c 8.1153
_cell_angle_alpha 127.12
_cell_angle_beta 127.12
_cell_angle_gamma 41.71
loop_
_symmetry_equiv_pos_as_xyz
'x,y,z'
loop_
_atom_site_label
_atom_site_fract_x
_atom_site_fract_y
_atom_site_fract_z
Ac1 0.0246 0.0246 0.2720
Ac2 0.9754 0.9754 0.7280
Sb1 0.3151 0.3151 0.2919
Sb2 0.6849 0.6849 0.7081
Au1 0.3511 0.3511 0.8798
Au2 0.6489 0.6489 0.1202
```

---

Entry 6:
Diffraction record for AcSb3Au8. The powder XRD pattern is calculated, not measured: it uses a structure optimized by DFT (PBE) and Cu Ka.
No peak broadening, texture or thermal motion is included.

The 8 most intense peaks (2θ = 10–90°), low angle first:
Position (°2θ)  Rel. int.
33.2  49
36.7  100
37.1  33
37.7  99
41.2  36
59.5  25
60.9  28
65.8  31

Structural model:
```
data_AcSb3Au8
_chemical_formula_sum 'Ac1 Sb3 Au8'
_symmetry_space_group_name_H-M 'P 1'
_symmetry_Int_Tables_number 1
_cell_length_a 5.6809
_cell_length_b 5.6809
_cell_length_c 9.6837
_cell_angle_alpha 90.00
_cell_angle_beta 90.00
_cell_angle_gamma 120.00
loop_
_symmetry_equiv_pos_as_xyz
'x,y,z'
loop_
_atom_site_label
_atom_site_fract_x
_atom_site_fract_y
_atom_site_fract_z
Ac1 0.0000 0.0000 0.0000
Sb1 0.0000 0.0000 0.4094
Sb2 0.6667 0.3333 0.4584
Sb3 0.6667 0.3333 0.8095
Au1 0.1653 0.3306 0.6870
Au2 0.1653 0.8347 0.6870
Au3 0.3333 0.6667 0.4392
Au4 0.3333 0.6667 0.9387
Au5 0.5014 0.0029 0.1890
Au6 0.5014 0.4986 0.1890
Au7 0.6694 0.8347 0.6870
Au8 0.9971 0.4986 0.1890
```

---

Entry 7:
Diffraction record for AcScZn2Au4. The powder XRD pattern is calculated, not measured: it uses a structure optimized by DFT (PBE) and Cu Ka.
No peak broadening, texture or thermal motion is included.

The 8 most intense peaks (2θ = 10–90°), low angle first:
Position (°2θ)  Rel. int.
25.8  21
27.6  23
31.9  26
34.3  80
39.2  100
39.6  23
53.0  23
67.9  22

Structural model:
```
data_AcScZn2Au4
_chemical_formula_sum 'Ac1 Sc1 Zn2 Au4'
_symmetry_space_group_name_H-M 'P 1'
_symmetry_Int_Tables_number 1
_cell_length_a 9.6164
_cell_length_b 9.6164
_cell_length_c 9.6164
_cell_angle_alpha 27.67
_cell_angle_beta 27.67
_cell_angle_gamma 27.67
loop_
_symmetry_equiv_pos_as_xyz
'x,y,z'
loop_
_atom_site_label
_atom_site_fract_x
_atom_site_fract_y
_atom_site_fract_z
Ac1 0.0000 0.0000 0.0000
Sc1 0.5000 0.5000 0.5000
Zn1 0.2333 0.2333 0.2333
Zn2 0.7667 0.7667 0.7667
Au1 0.1249 0.1249 0.1249
Au2 0.3990 0.3990 0.3990
Au3 0.6010 0.6010 0.6010
Au4 0.8751 0.8751 0.8751
```

---

Entry 8:
Diffraction record for Ac5AuSe5. The powder XRD pattern is calculated, not measured: it uses a structure optimized by DFT (PBE) and Cu Ka.
No peak broadening, texture or thermal motion is included.

The 8 most intense peaks (2θ = 10–90°), low angle first:
Position (°2θ)  Rel. int.
15.5  41
24.1  48
27.7  100
27.9  97
28.2  97
40.0  76
40.1  75
49.5  82

Structural model:
```
data_Ac5AuSe5
_chemical_formula_sum 'Ac5 Au1 Se5'
_symmetry_space_group_name_H-M 'P 1'
_symmetry_Int_Tables_number 1
_cell_length_a 7.8158
_cell_length_b 7.8158
_cell_length_c 9.0841
_cell_angle_alpha 106.48
_cell_angle_beta 106.48
_cell_angle_gamma 47.73
loop_
_symmetry_equiv_pos_as_xyz
'x,y,z'
loop_
_atom_site_label
_atom_site_fract_x
_atom_site_fract_y
_atom_site_fract_z
Ac1 0.0000 0.0000 0.0000
Ac2 0.3356 0.3356 0.6626
Ac3 0.3441 0.3441 0.1720
Ac4 0.6559 0.6559 0.8280
Ac5 0.6644 0.6644 0.3374
Au1 0.5000 0.5000 0.0000
Se1 0.1758 0.1758 0.8462
Se2 0.1801 0.1801 0.3299
Se3 0.5000 0.5000 0.5000
Se4 0.8199 0.8199 0.6701
Se5 0.8242 0.8242 0.1538
```